Entry 1:
Calculated X-ray diffraction stick pattern of K2P3 for Cu Kα (weighted mean of Kα1 and Kα2), from a DFT-relaxed cell (GGA-PBE, the Materials Project).

Top 12 peaks for 2θ = 10–90°, most intense first:
d = 2.896 Å, I = 100; d = 2.933 Å, I = 51; d = 2.143 Å, I = 31; d = 2.366 Å, I = 25; d = 6.830 Å, I = 21; d = 1.588 Å, I = 20; d = 1.707 Å, I = 16; d = 2.100 Å, I = 15; d = 5.866 Å, I = 12; d = 1.571 Å, I = 10; d = 3.662 Å, I = 9; d = 1.449 Å, I = 9

```
K2P3
1.0
8.4005 0.0000 0.0000
4.2002 7.4736 0.0000
4.2002 0.0000 9.4658
K P
8 12
direct
0.0000 0.0000 0.0000
0.0044 0.4975 0.0058
0.2314 0.0023 0.5278
0.2469 0.5087 0.5020
0.4842 0.4994 0.0327
0.5067 0.0001 0.9861
0.7486 0.9978 0.5036
0.7578 0.4987 0.4854
0.0850 0.1469 0.2510
0.2177 0.8534 0.2634
0.2316 0.2934 0.2500
0.3219 0.6441 0.7633
0.4710 0.3602 0.7555
0.4768 0.7937 0.7602
0.5163 0.1502 0.2595
0.5251 0.7106 0.2518
0.6683 0.8639 0.2520
0.7656 0.2098 0.7539
0.7727 0.6543 0.7502
0.9184 0.3520 0.7625
```

Entry 2:
Calculated X-ray diffraction stick pattern of KBCNF3 for Cu Kα (weighted mean of Kα1 and Kα2), from a DFT-relaxed cell (GGA-PBE, the Materials Project).

Top 12 peaks for 2θ = 10–90°, most intense first:
d = 3.490 Å, I = 100; d = 2.375 Å, I = 41; d = 2.726 Å, I = 28; d = 2.054 Å, I = 21; d = 1.986 Å, I = 20; d = 3.417 Å, I = 16; d = 2.405 Å, I = 16; d = 2.860 Å, I = 16; d = 2.527 Å, I = 16; d = 3.525 Å, I = 13; d = 2.414 Å, I = 13; d = 1.944 Å, I = 13

```
KBCNF3
1.0
13.6720 0.0000 0.0000
0.0000 6.6170 0.0000
0.0000 0.0000 10.2752
K B C N F
8 8 8 8 24
direct
0.1246 0.0025 0.1200
0.1246 0.9975 0.6200
0.3754 0.4975 0.6200
0.3754 0.5025 0.1200
0.6246 0.4975 0.8800
0.6246 0.5025 0.3800
0.8754 0.0025 0.3800
0.8754 0.9975 0.8800
0.1506 0.3719 0.3700
0.1506 0.6281 0.8700
0.3494 0.1281 0.8700
0.3494 0.8719 0.3700
0.6506 0.1281 0.6300
0.6506 0.8719 0.1300
0.8494 0.3719 0.1300
0.8494 0.6281 0.6300
0.0936 0.4155 0.8831
0.0936 0.5845 0.3831
0.4064 0.0845 0.3831
0.4064 0.9155 0.8831
0.5936 0.0845 0.1169
0.5936 0.9155 0.6169
0.9064 0.4155 0.6169
0.9064 0.5845 0.1169
0.0530 0.2613 0.8938
0.0530 0.7387 0.3938
0.4470 0.2387 0.3938
0.4470 0.7613 0.8938
0.5530 0.2387 0.1062
0.5530 0.7613 0.6062
0.9470 0.2613 0.6062
0.9470 0.7387 0.1062
0.0824 0.2106 0.3576
0.0824 0.7894 0.8576
0.2077 0.3405 0.4837
0.2077 0.6595 0.9837
0.2110 0.3744 0.2578
0.2110 0.6256 0.7578
0.2890 0.1256 0.7578
0.2890 0.8744 0.2578
0.2923 0.1595 0.9837
0.2923 0.8405 0.4837
0.4176 0.2894 0.8576
0.4176 0.7106 0.3576
0.5824 0.2894 0.6424
0.5824 0.7106 0.1424
0.7077 0.1595 0.5163
0.7077 0.8405 0.0163
0.7110 0.1256 0.7422
0.7110 0.8744 0.2422
0.7890 0.3744 0.2422
0.7890 0.6256 0.7422
0.7923 0.3405 0.0163
0.7923 0.6595 0.5163
0.9176 0.2106 0.1424
0.9176 0.7894 0.6424
```